Entry 1:
For Na3Ru2O8, a DFT-relaxed cell (GGA-PBE, Alexandria) gives the computed PXRD pattern in this record (λ = 1.5418 Å (Cu Kα)).

Structural model:
a = 7.158 Å, b = 7.158 Å, c = 9.282 Å
α = 90.00°, β = 90.00°, γ = 122.24°
Positions (direct):
Na 0.000 0.000 0.000
Na 0.120 0.380 0.250
Na 0.380 0.120 0.750
Na 0.500 0.500 0.500
Na 0.620 0.880 0.250
Na 0.880 0.620 0.750
Ru 0.124 0.876 0.380
Ru 0.376 0.624 0.880
Ru 0.624 0.376 0.120
Ru 0.876 0.124 0.620
O 0.013 0.987 0.258
O 0.093 0.327 0.512
O 0.173 0.407 0.988
O 0.246 0.754 0.284
O 0.254 0.746 0.784
O 0.327 0.093 0.488
O 0.407 0.173 0.012
O 0.487 0.513 0.758
O 0.513 0.487 0.242
O 0.593 0.827 0.988
O 0.673 0.907 0.512
O 0.746 0.254 0.216
O 0.754 0.246 0.716
O 0.827 0.593 0.012
O 0.907 0.673 0.488
O 0.987 0.013 0.742

Main lines, sorted by position (5 to 70 degrees two-theta):
| 2theta | intensity |
| --- | --- |
| 17.1 | 48 |
| 17.5 | 80 |
| 24.2 | 100 |
| 25.8 | 29 |
| 26.7 | 57 |
| 28.5 | 33 |
| 31.1 | 74 |
| 31.6 | 35 |
| 32.3 | 43 |
| 32.5 | 22 |
| 52.9 | 26 |
| 56.0 | 52 |


Entry 2:
For NaRu4O8, a DFT-relaxed cell (GGA-PBE, Alexandria) gives the computed PXRD pattern in this record (λ = 1.5418 Å (Cu Kα)).

Structural model:
a = 6.939 Å, b = 6.939 Å, c = 6.939 Å
α = 92.90°, β = 92.90°, γ = 153.98°
Positions (direct):
Na 0.000 0.000 0.000
Ru 0.158 0.680 0.838
Ru 0.320 0.158 0.479
Ru 0.680 0.842 0.521
Ru 0.842 0.320 0.162
O 0.050 0.337 0.387
O 0.322 0.369 0.691
O 0.337 0.950 0.288
O 0.369 0.678 0.048
O 0.631 0.322 0.952
O 0.663 0.050 0.712
O 0.678 0.631 0.309
O 0.950 0.663 0.613

Main lines, sorted by position (5 to 70 degrees two-theta):
| 2theta | intensity |
| --- | --- |
| 13.1 | 30 |
| 18.6 | 76 |
| 29.5 | 56 |
| 35.6 | 100 |
| 37.6 | 12 |
| 40.0 | 20 |
| 48.9 | 67 |
| 56.1 | 11 |
| 57.9 | 17 |
| 59.2 | 11 |
| 59.9 | 23 |
| 69.8 | 26 |


Entry 3:
For NaRu3O12, a DFT-relaxed cell (GGA-PBE, Alexandria) gives the computed PXRD pattern in this record (λ = 1.5418 Å (Cu Kα)).

Structural model:
a = 10.020 Å, b = 10.020 Å, c = 10.020 Å
α = 57.10°, β = 57.10°, γ = 57.10°
Positions (direct):
Na 0.000 0.000 0.000
Na 0.500 0.500 0.500
Ru 0.091 0.850 0.423
Ru 0.350 0.591 0.923
Ru 0.423 0.091 0.850
Ru 0.591 0.923 0.350
Ru 0.850 0.423 0.091
Ru 0.923 0.350 0.591
O 0.002 0.139 0.713
O 0.045 0.877 0.264
O 0.081 0.410 0.407
O 0.139 0.713 0.002
O 0.206 0.975 0.338
O 0.213 0.639 0.502
O 0.264 0.045 0.877
O 0.338 0.206 0.975
O 0.377 0.545 0.764
O 0.407 0.081 0.410
O 0.410 0.407 0.081
O 0.475 0.706 0.838
O 0.502 0.213 0.639
O 0.545 0.764 0.377
O 0.581 0.907 0.910
O 0.639 0.502 0.213
O 0.706 0.838 0.475
O 0.713 0.002 0.139
O 0.764 0.377 0.545
O 0.838 0.475 0.706
O 0.877 0.264 0.045
O 0.907 0.910 0.581
O 0.910 0.581 0.907
O 0.975 0.338 0.206

Main lines, sorted by position (5 to 70 degrees two-theta):
| 2theta | intensity |
| --- | --- |
| 12.8 | 12 |
| 18.5 | 13 |
| 21.3 | 28 |
| 21.4 | 100 |
| 22.6 | 12 |
| 25.8 | 6 |
| 28.3 | 14 |
| 28.7 | 18 |
| 32.4 | 7 |
| 37.3 | 15 |
| 39.1 | 13 |
| 43.3 | 8 |


Copy entry 3 word for word.
For NaRu3O12, a DFT-relaxed cell (GGA-PBE, Alexandria) gives the computed PXRD pattern in this record (λ = 1.5418 Å (Cu Kα)).

Structural model:
a = 10.020 Å, b = 10.020 Å, c = 10.020 Å
α = 57.10°, β = 57.10°, γ = 57.10°
Positions (direct):
Na 0.000 0.000 0.000
Na 0.500 0.500 0.500
Ru 0.091 0.850 0.423
Ru 0.350 0.591 0.923
Ru 0.423 0.091 0.850
Ru 0.591 0.923 0.350
Ru 0.850 0.423 0.091
Ru 0.923 0.350 0.591
O 0.002 0.139 0.713
O 0.045 0.877 0.264
O 0.081 0.410 0.407
O 0.139 0.713 0.002
O 0.206 0.975 0.338
O 0.213 0.639 0.502
O 0.264 0.045 0.877
O 0.338 0.206 0.975
O 0.377 0.545 0.764
O 0.407 0.081 0.410
O 0.410 0.407 0.081
O 0.475 0.706 0.838
O 0.502 0.213 0.639
O 0.545 0.764 0.377
O 0.581 0.907 0.910
O 0.639 0.502 0.213
O 0.706 0.838 0.475
O 0.713 0.002 0.139
O 0.764 0.377 0.545
O 0.838 0.475 0.706
O 0.877 0.264 0.045
O 0.907 0.910 0.581
O 0.910 0.581 0.907
O 0.975 0.338 0.206

Main lines, sorted by position (5 to 70 degrees two-theta):
| 2theta | intensity |
| --- | --- |
| 12.8 | 12 |
| 18.5 | 13 |
| 21.3 | 28 |
| 21.4 | 100 |
| 22.6 | 12 |
| 25.8 | 6 |
| 28.3 | 14 |
| 28.7 | 18 |
| 32.4 | 7 |
| 37.3 | 15 |
| 39.1 | 13 |
| 43.3 | 8 |


Repeat the first record exactly.
For Na3Ru2O8, a DFT-relaxed cell (GGA-PBE, Alexandria) gives the computed PXRD pattern in this record (λ = 1.5418 Å (Cu Kα)).

Structural model:
a = 7.158 Å, b = 7.158 Å, c = 9.282 Å
α = 90.00°, β = 90.00°, γ = 122.24°
Positions (direct):
Na 0.000 0.000 0.000
Na 0.120 0.380 0.250
Na 0.380 0.120 0.750
Na 0.500 0.500 0.500
Na 0.620 0.880 0.250
Na 0.880 0.620 0.750
Ru 0.124 0.876 0.380
Ru 0.376 0.624 0.880
Ru 0.624 0.376 0.120
Ru 0.876 0.124 0.620
O 0.013 0.987 0.258
O 0.093 0.327 0.512
O 0.173 0.407 0.988
O 0.246 0.754 0.284
O 0.254 0.746 0.784
O 0.327 0.093 0.488
O 0.407 0.173 0.012
O 0.487 0.513 0.758
O 0.513 0.487 0.242
O 0.593 0.827 0.988
O 0.673 0.907 0.512
O 0.746 0.254 0.216
O 0.754 0.246 0.716
O 0.827 0.593 0.012
O 0.907 0.673 0.488
O 0.987 0.013 0.742

Main lines, sorted by position (5 to 70 degrees two-theta):
| 2theta | intensity |
| --- | --- |
| 17.1 | 48 |
| 17.5 | 80 |
| 24.2 | 100 |
| 25.8 | 29 |
| 26.7 | 57 |
| 28.5 | 33 |
| 31.1 | 74 |
| 31.6 | 35 |
| 32.3 | 43 |
| 32.5 | 22 |
| 52.9 | 26 |
| 56.0 | 52 |